Starting from a PBE+U-relaxed structure, the powder XRD pattern of Li4MnO2F2 was computed for λ = 1.5418 Å (Cu Kα).
Kinematic intensities with the Lorentz-polarization factor, no thermal factor.

Main lines, in order of rising 2θ (2θ = 15–90°):
- 2θ 23.05, I 100.0, (0 1 1)
- 2θ 25.97, I 32.5, (1 1 -1)
- 2θ 28.96, I 64.8, (1 1 1)
- 2θ 29.88, I 35.1, (2 0 0)
- 2θ 34.92, I 67.7, (2 1 0)
- 2θ 35.64, I 55.9, (1 1 -2)
- 2θ 35.78, I 44.9, (2 1 -1)
- 2θ 38.87, I 45.6, (1 2 0)
- 2θ 48.62, I 37.2, (1 1 -3)
- 2θ 51.43, I 70.2, (1 2 2)

Lattice parameters (Å, degrees): 6.082 5.026 6.127 90.00 100.51 90.00
Element x y z (fractional)
1 Li 0.110 0.000 0.454
2 Li 0.110 0.484 0.954
3 Li 0.336 0.516 0.327
4 Li 0.336 0.967 0.827
5 Li 0.664 0.016 0.673
6 Li 0.664 0.467 0.173
7 Li 0.890 0.500 0.546
8 Li 0.890 0.984 0.046
9 Mn 0.499 0.492 0.750
10 Mn 0.501 0.992 0.250
11 O 0.383 0.675 0.044
12 O 0.383 0.808 0.544
13 O 0.617 0.175 0.956
14 O 0.617 0.308 0.456
15 F 0.121 0.227 0.197
16 F 0.121 0.257 0.697
17 F 0.879 0.727 0.803
18 F 0.879 0.757 0.303